Record 1
Theoretical X-ray diffraction stick pattern
Compound: Er3MgSc
Radiation: copper Kα
Structure: a DFT-relaxed cell (GGA-PBE, Alexandria)

Largest 10 diffraction maxima, by angle, 10 to 80 degrees two-theta:
Position (°2θ)	I_rel	(hkl)
19.66	17.6	0 0 2
20.76	23.7	0 2 0
25.69	20.7	1 0 0
28.20	18.1	1 -1 1
32.05	99.9	0 2 3
32.49	100.0	1 2 1
35.54	87.0	1 0 3
55.36	27.0	1 4 4
61.38	28.0	1 2 6
62.17	29.7	2 2 4

Structure:
```
data_Er3MgSc
_chemical_formula_sum 'Er6 Mg2 Sc2'
_space_group_name_H-M_alt 'P -1'
_space_group_IT_number 2
_cell_length_a 3.534
_cell_length_b 8.806
_cell_length_c 9.459
_cell_angle_alpha 76.56
_cell_angle_beta 79.28
_cell_angle_gamma 89.99
loop_
_space_group_symop_operation_xyz
'x,y,z'
'-x,-y,-z'
loop_
_atom_site_label
_atom_site_type_symbol
_atom_site_fract_x
_atom_site_fract_y
_atom_site_fract_z
_atom_site_occupancy
Er1 Er 0.099 0.011 0.303 1
Er2 Er 0.101 0.588 0.297 1
Er3 Er 0.302 0.649 0.895 1
Mg1 Mg 0.486 0.739 0.531 1
Sc1 Sc 0.284 0.143 0.933 1
```

---

Record 2
Theoretical X-ray diffraction stick pattern
Compound: Er3Mg6Sc2
Radiation: copper Kα
Structure: a DFT-relaxed cell (GGA-PBE, Alexandria)

Largest 10 diffraction maxima, by angle, 10 to 80 degrees two-theta:
Position (°2θ)	I_rel	(hkl)
11.48	70.0	0 0 4
24.96	100.0	1 0 5
28.85	63.7	1 1 0
31.15	81.8	1 1 4
33.22	89.2	1 0 9
41.29	54.5	2 0 0
48.84	33.4	2 1 5
50.90	18.6	1 1 14
53.97	44.3	2 1 9
68.97	16.2	3 1 4

Structure:
```
data_Er3Mg6Sc2
_chemical_formula_sum 'Er6 Mg12 Sc4'
_space_group_name_H-M_alt 'I 4/m m m'
_space_group_IT_number 139
_space_group_name_Hall '-I 4 2'
_cell_length_a 4.375
_cell_length_b 4.375
_cell_length_c 30.829
_cell_angle_alpha 90.00
_cell_angle_beta 90.00
_cell_angle_gamma 90.00
loop_
_atom_site_label
_atom_site_type_symbol
_atom_site_fract_x
_atom_site_fract_y
_atom_site_fract_z
_atom_site_occupancy
Er1 Er 0.000 0.000 0.000 1
Er2 Er 0.000 0.000 0.213 1
Mg1 Mg 0.000 0.000 0.317 1
Mg2 Mg 0.000 0.500 0.116 1
Sc1 Sc 0.000 0.000 0.454 1
```

---

Record 3
Theoretical X-ray diffraction stick pattern
Compound: Er6Mg2Sc
Radiation: copper Kα
Structure: a DFT-relaxed cell (GGA-PBE, Alexandria)

Largest 10 diffraction maxima, by angle, 10 to 80 degrees two-theta:
Position (°2θ)	I_rel	(hkl)
14.03	19.3	0 0 3
15.13	34.6	1 0 1
28.28	40.9	0 0 6
29.39	100.0	0 2 1
34.76	69.9	0 2 4
37.65	83.5	2 0 5
38.99	20.4	2 1 1
51.41	31.4	2 2 0
57.10	22.3	0 2 10
59.71	23.3	2 2 6

Structure:
```
data_Er6Mg2Sc
_chemical_formula_sum 'Er18 Mg6 Sc3'
_space_group_name_H-M_alt 'R 3'
_space_group_IT_number 146
_space_group_name_Hall 'R 3'
_cell_length_a 7.1096
_cell_length_b 7.1096
_cell_length_c 18.9368
_cell_angle_alpha 90.00
_cell_angle_beta 90.00
_cell_angle_gamma 120.00
loop_
_atom_site_label
_atom_site_type_symbol
_atom_site_fract_x
_atom_site_fract_y
_atom_site_fract_z
_atom_site_occupancy
Er1 Er 0.1501 0.3375 0.0000 1
Er2 Er 0.1650 0.7956 0.1985 1
Mg1 Mg 0.0000 0.0000 0.6786 1
Mg2 Mg 0.0000 0.0000 0.8535 1
Sc1 Sc 0.0000 0.0000 0.1129 1
```

---

Record 4
Theoretical X-ray diffraction stick pattern
Compound: Er3MgSc7
Radiation: copper Kα
Structure: a DFT-relaxed cell (GGA-PBE, Alexandria)

Largest 10 diffraction maxima, by angle, 10 to 80 degrees two-theta:
Position (°2θ)	I_rel	(hkl)
10.91	48.0	0 0 1
15.59	20.0	1 0 0
19.07	28.7	0 1 1
31.48	15.1	2 0 0
33.15	28.8	0 0 3
33.41	100.0	2 0 1
38.70	63.7	0 2 2
55.70	23.2	2 0 4
56.06	18.6	2 2 0
66.69	21.3	2 2 3

Structure:
```
data_Er3MgSc7
_chemical_formula_sum 'Er3 Mg1 Sc7'
_space_group_name_H-M_alt 'P 3 m 1'
_space_group_IT_number 156
_cell_length_a 6.5624
_cell_length_b 6.5624
_cell_length_c 8.1076
_cell_angle_alpha 90.00
_cell_angle_beta 90.00
_cell_angle_gamma 120.00
loop_
_space_group_symop_operation_xyz
'x,y,z'
'-y,x-y,z'
'-x+y,-x,z'
'-y,-x,z'
'-x+y,y,z'
'x,x-y,z'
loop_
_atom_site_label
_atom_site_type_symbol
_atom_site_fract_x
_atom_site_fract_y
_atom_site_fract_z
_atom_site_occupancy
Er1 Er 0.1683 0.3365 0.0000 1
Mg1 Mg 0.0000 0.0000 0.3477 1
Sc1 Sc 0.0072 0.5036 0.3492 1
Sc2 Sc 0.3333 0.6667 0.6664 1
Sc3 Sc 0.3345 0.1672 0.6622 1
```

---

Record 5
Theoretical X-ray diffraction stick pattern
Compound: Er2Mg3Sc3
Radiation: copper Kα
Structure: a DFT-relaxed cell (GGA-PBE, Alexandria)

Largest 10 diffraction maxima, by angle, 10 to 80 degrees two-theta:
Position (°2θ)	I_rel	(hkl)
17.75	45.7	0 1 0
21.91	22.0	0 0 2
25.21	31.5	1 1 0
28.35	30.6	1 0 2
33.64	100.0	1 1 2
35.86	21.0	0 2 0
36.05	20.7	2 0 0
51.76	14.3	2 2 0
63.04	15.7	1 3 2
63.29	15.3	3 1 2

Structure:
```
data_Er2Mg3Sc3
_chemical_formula_sum 'Er2 Mg3 Sc3'
_space_group_name_H-M_alt 'P m m m'
_space_group_IT_number 47
_cell_length_a 4.982
_cell_length_b 5.008
_cell_length_c 8.114
_cell_angle_alpha 90.00
_cell_angle_beta 90.00
_cell_angle_gamma 90.00
loop_
_space_group_symop_operation_xyz
'x,y,z'
'-x,-y,-z'
'-x,-y,z'
'x,y,-z'
'x,-y,-z'
'-x,y,z'
'-x,y,-z'
'x,-y,z'
loop_
_atom_site_label
_atom_site_type_symbol
_atom_site_fract_x
_atom_site_fract_y
_atom_site_fract_z
_atom_site_occupancy
Er1 Er 0.000 0.000 0.249 1
Mg1 Mg 0.000 0.500 0.000 1
Mg2 Mg 0.000 0.500 0.500 1
Mg3 Mg 0.500 0.000 0.000 1
Sc1 Sc 0.500 0.000 0.500 1
Sc2 Sc 0.500 0.500 0.242 1
```

---

Record 6
Theoretical X-ray diffraction stick pattern
Compound: Er2MgSc6
Radiation: copper Kα
Structure: a DFT-relaxed cell (GGA-PBE, Alexandria)

Largest 10 diffraction maxima, by angle, 10 to 80 degrees two-theta:
Position (°2θ)	I_rel	(hkl)
11.21	51.7	1 0 0
19.48	39.9	1 1 0
22.52	12.9	2 0 0
29.95	11.9	2 1 0
34.07	83.2	3 0 0
34.39	100.0	1 1 1
49.19	35.5	2 2 1
60.98	14.5	3 3 0
61.19	36.3	4 1 1
69.01	19.7	3 0 2

Structure:
```
data_Er2MgSc6
_chemical_formula_sum 'Er2 Mg1 Sc6'
_space_group_name_H-M_alt 'P 6/m m m'
_space_group_IT_number 191
_space_group_name_Hall '-P 6 2'
_cell_length_a 9.1159
_cell_length_b 9.1159
_cell_length_c 3.1801
_cell_angle_alpha 90.00
_cell_angle_beta 90.00
_cell_angle_gamma 120.00
loop_
_atom_site_label
_atom_site_type_symbol
_atom_site_fract_x
_atom_site_fract_y
_atom_site_fract_z
_atom_site_occupancy
Er1 Er 0.3333 0.6667 0.0000 1
Mg1 Mg 0.0000 0.0000 0.0000 1
Sc1 Sc 0.0000 0.3298 0.5000 1
```

---

Record 7
Theoretical X-ray diffraction stick pattern
Compound: Er3Mg7Sc
Radiation: copper Kα
Structure: a DFT-relaxed cell (GGA-PBE, Alexandria)

Largest 10 diffraction maxima, by angle, 10 to 80 degrees two-theta:
Position (°2θ)	I_rel	(hkl)
12.28	89.3	1 1 0
17.61	100.0	2 0 0
23.65	55.8	0 2 1
25.95	78.2	2 2 -1
30.29	45.8	1 3 -1
31.16	47.8	2 0 -2
32.59	34.1	0 0 2
32.96	74.6	2 2 1
33.55	46.0	1 3 1
37.94	40.7	4 2 -1

Structure:
```
data_Er3Mg7Sc
_chemical_formula_sum 'Er6 Mg14 Sc2'
_space_group_name_H-M_alt 'C 1 2/m 1'
_space_group_IT_number 12
_cell_length_a 10.749
_cell_length_b 10.321
_cell_length_c 5.865
_cell_angle_alpha 90.00
_cell_angle_beta 110.47
_cell_angle_gamma 90.00
loop_
_space_group_symop_operation_xyz
'x,y,z'
'-x,-y,-z'
'-x,y,-z'
'x,-y,z'
'x+1/2,y+1/2,z'
'-x+1/2,-y+1/2,-z'
'-x+1/2,y+1/2,-z'
'x+1/2,-y+1/2,z'
loop_
_atom_site_label
_atom_site_type_symbol
_atom_site_fract_x
_atom_site_fract_y
_atom_site_fract_z
_atom_site_occupancy
Er1 Er 0.000 0.000 0.000 1
Er2 Er 0.000 0.196 0.500 1
Mg1 Mg 0.000 0.500 0.500 1
Mg2 Mg 0.176 0.252 0.169 1
Mg3 Mg 0.237 0.000 0.529 1
Sc1 Sc 0.000 0.500 0.000 1
```

---

Record 8
Theoretical X-ray diffraction stick pattern
Compound: Er4Mg7Sc
Radiation: copper Kα
Structure: a DFT-relaxed cell (GGA-PBE, Alexandria)

Largest 10 diffraction maxima, by angle, 10 to 80 degrees two-theta:
Position (°2θ)	I_rel	(hkl)
19.67	31.2	1 0 0
20.82	84.4	0 1 1
28.45	47.1	0 1 3
33.83	100.0	1 0 4
34.42	92.5	1 1 0
40.57	15.5	2 0 1
49.03	35.0	0 2 4
60.13	18.0	0 1 8
61.28	35.6	2 1 4
61.66	16.9	3 0 0

Structure:
```
data_Er4Mg7Sc
_chemical_formula_sum 'Er4 Mg7 Sc1'
_space_group_name_H-M_alt 'P -3 m 1'
_space_group_IT_number 164
_space_group_name_Hall '-P 3 2"'
_cell_length_a 5.2110
_cell_length_b 5.2110
_cell_length_c 13.0943
_cell_angle_alpha 90.00
_cell_angle_beta 90.00
_cell_angle_gamma 120.00
loop_
_atom_site_label
_atom_site_type_symbol
_atom_site_fract_x
_atom_site_fract_y
_atom_site_fract_z
_atom_site_occupancy
Er1 Er 0.3333 0.6667 0.1572 1
Er2 Er 0.3333 0.6667 0.4193 1
Mg1 Mg 0.0000 0.0000 0.2560 1
Mg2 Mg 0.0000 0.0000 0.5000 1
Mg3 Mg 0.3333 0.6667 0.6826 1
Mg4 Mg 0.3333 0.6667 0.9192 1
Sc1 Sc 0.0000 0.0000 0.0000 1
```